(1)
Diffraction record for Pr3AlSe6. The powder X-ray diffraction pattern is simulated, not measured: it uses a structure optimized by DFT (GGA-PBE) and λ = 1.5418 Å (Cu Kα).

Most intense lines, 5 to 70 degrees two-theta, sorted by position:
| 2theta | I_rel |
| --- | --- |
| 16.1 | 37 |
| 23.5 | 99 |
| 23.8 | 53 |
| 32.4 | 100 |
| 35.2 | 96 |
| 35.9 | 67 |
| 39.0 | 60 |
| 46.0 | 29 |
| 47.0 | 29 |
| 60.5 | 26 |

Atomic structure:
```
data_Pr3AlSe6
_cell_length_a 9.2423
_cell_length_b 9.2423
_cell_length_c 6.9709
_cell_angle_alpha 90.00
_cell_angle_beta 90.00
_cell_angle_gamma 102.22
_space_group_name_H-M_alt 'P 1'
_space_group_IT_number 1
_space_group_name_Hall 'P 1'
loop_
_atom_site_label
_atom_site_type_symbol
_atom_site_fract_x
_atom_site_fract_y
_atom_site_fract_z
Pr1 Pr 0.1002 0.8998 0.5000
Pr2 Pr 0.2177 0.4163 0.4050
Pr3 Pr 0.4163 0.2177 0.9050
Pr4 Pr 0.5837 0.7823 0.4050
Pr5 Pr 0.7823 0.5837 0.9050
Pr6 Pr 0.8998 0.1002 0.0000
Al1 Al 0.3006 0.6994 0.8644
Al2 Al 0.6994 0.3006 0.3644
Se1 Se 0.0729 0.5989 0.6986
Se2 Se 0.1328 0.1910 0.7026
Se3 Se 0.1910 0.1328 0.2026
Se4 Se 0.2819 0.7181 0.2082
Se5 Se 0.4011 0.9271 0.6986
Se6 Se 0.4580 0.5420 0.7290
Se7 Se 0.5420 0.4580 0.2290
Se8 Se 0.5989 0.0729 0.1986
Se9 Se 0.7181 0.2819 0.7082
Se10 Se 0.8090 0.8672 0.7026
Se11 Se 0.8672 0.8090 0.2026
Se12 Se 0.9271 0.4011 0.1986
```

(2)
Diffraction record for Sm12Y5Al2. The powder X-ray diffraction pattern is simulated, not measured: it uses a structure optimized by DFT (GGA-PBE) and λ = 1.5418 Å (Cu Kα).

Most intense lines, 5 to 70 degrees two-theta, sorted by position:
| 2theta | I_rel |
| --- | --- |
| 24.5 | 22 |
| 28.0 | 23 |
| 30.1 | 42 |
| 30.2 | 19 |
| 30.6 | 100 |
| 31.6 | 24 |
| 32.1 | 46 |
| 32.3 | 23 |
| 33.4 | 21 |
| 56.6 | 22 |

Atomic structure:
```
data_Sm12Y5Al2
_cell_length_a 9.7819
_cell_length_b 9.7819
_cell_length_c 8.9560
_cell_angle_alpha 106.77
_cell_angle_beta 106.77
_cell_angle_gamma 48.61
_space_group_name_H-M_alt 'P 1'
_space_group_IT_number 1
_space_group_name_Hall 'P 1'
loop_
_atom_site_label
_atom_site_type_symbol
_atom_site_fract_x
_atom_site_fract_y
_atom_site_fract_z
Sm1 Sm 0.0201 0.0201 0.1928
Sm2 Sm 0.1138 0.5796 0.0286
Sm3 Sm 0.1627 0.5615 0.6310
Sm4 Sm 0.4204 0.8862 0.9714
Sm5 Sm 0.4385 0.8373 0.3690
Sm6 Sm 0.4509 0.4509 0.3316
Sm7 Sm 0.5491 0.5491 0.6684
Sm8 Sm 0.5615 0.1627 0.6310
Sm9 Sm 0.5796 0.1138 0.0286
Sm10 Sm 0.8373 0.4385 0.3690
Sm11 Sm 0.8862 0.4204 0.9714
Sm12 Sm 0.9799 0.9799 0.8072
Y1 Y 0.1853 0.1853 0.6707
Y2 Y 0.2508 0.2508 0.2788
Y3 Y 0.5000 0.5000 0.0000
Y4 Y 0.7492 0.7492 0.7212
Y5 Y 0.8147 0.8147 0.3293
Al1 Al 0.1618 0.8382 0.5000
Al2 Al 0.8382 0.1618 0.5000
```

What is the formula in the second record? Sm12Y5Al2